# MgTiVP3O12
Calculated X-ray diffraction stick pattern, a wavelength of 1.5418 Å. Input: a DFT-relaxed cell (PBE+U, the Materials Project).
Neutral-atom scattering factors, no anomalous dispersion.

Atomic structure:
Unit cell a=8.6315 b=8.6315 c=20.8092 alpha=90.00 beta=90.00 gamma=120.00
Space group R3c (No. 161, hexagonal axes)
One atom of each set of equivalent atoms:
Mg 0.0000 0.0000 0.0000 x6
Ti 0.0000 0.0000 0.3541 x6
V 0.0000 0.0000 0.1412 x6
P 0.0385 0.3708 0.4146 x18
O 0.0038 0.1913 0.8089 x18
O 0.0210 0.1828 0.4237 x18
O 0.1397 0.4669 0.3546 x18
O 0.1646 0.4839 0.7417 x18

Peak list (8 most intense, 5° ≤ 2θ ≤ 70°, in order of falling intensity)
2θ 24.29, rel. 100.0, hkl 1 1 3; 2θ 33.14, rel. 37.9, hkl 1 1 6; 2θ 20.58, rel. 36.3, hkl 1 1 0; 2θ 36.05, rel. 20.7, hkl 3 0 0; 2θ 20.80, rel. 19.5, hkl 1 0 4; 2θ 47.51, rel. 18.6, hkl 1 2 8; 2θ 56.43, rel. 16.8, hkl 4 1 0; 2θ 49.77, rel. 15.3, hkl 2 2 6

# Li2Si3NiO8
Calculated X-ray diffraction stick pattern, a wavelength of 1.5418 Å. Input: a DFT-relaxed cell (PBE+U, the Materials Project).
Neutral-atom scattering factors, no anomalous dispersion.

Atomic structure:
Unit cell a=6.3286 b=8.4489 c=6.6482 alpha=90.00 beta=105.54 gamma=90.00
Space group P2_1 (No. 4)
One atom of each set of equivalent atoms:
Li 0.0617 0.0000 0.0264 x2
Li 0.3558 0.5125 0.7543 x2
Si 0.0853 0.7943 0.4713 x2
Si 0.2668 0.1247 0.4113 x2
Si 0.3337 0.6489 0.2033 x2
Ni 0.4737 0.3241 0.1211 x2
O 0.0896 0.9788 0.3916 x2
O 0.1017 0.6850 0.2688 x2
O 0.1655 0.2796 0.5028 x2
O 0.2653 0.7443 0.6780 x2
O 0.2697 0.5077 0.0299 x2
O 0.2929 0.1490 0.1792 x2
O 0.4290 0.8110 0.1334 x2
O 0.4941 0.0724 0.5833 x2

Peak list (8 most intense, 5° ≤ 2θ ≤ 70°, in order of falling intensity)
2θ 22.67, rel. 100.0, hkl 1 0 1; 2θ 27.28, rel. 83.2, hkl 1 2 -1; 2θ 20.16, rel. 67.1, hkl 1 1 -1; 2θ 36.37, rel. 52.1, hkl 2 2 0; 2θ 14.53, rel. 37.7, hkl 1 0 0; 2θ 29.79, rel. 32.3, hkl 1 1 -2; 2θ 21.03, rel. 31.8, hkl 0 2 0; 2θ 31.13, rel. 27.1, hkl 1 2 1

# KSrEuWO6
Calculated X-ray diffraction stick pattern, a wavelength of 1.5418 Å. Input: a DFT-relaxed cell (PBE+U, the Materials Project).
Neutral-atom scattering factors, no anomalous dispersion.

Atomic structure:
Unit cell a=8.4383 b=8.4742 c=8.5108 alpha=90.00 beta=90.00 gamma=90.00
Space group Pnnn (No. 48, origin choice 2)
One atom of each set of equivalent atoms:
K 0.2500 0.2500 0.2500 x2
K 0.2500 0.7500 0.7500 x2
Sr 0.2500 0.2500 0.7500 x2
Sr 0.2500 0.7500 0.2500 x2
Eu 0.0000 0.0000 0.0000 x4
W 0.0000 0.0000 0.5000 x4
O 0.0217 0.0377 0.7298 x8
O 0.0266 0.7295 0.9823 x8
O 0.2281 0.0213 0.4762 x8

Peak list (8 most intense, 5° ≤ 2θ ≤ 70°, in order of falling intensity)
2θ 29.79, rel. 100.0, hkl 0 2 2; 2θ 29.89, rel. 49.0, hkl 2 2 0; 2θ 20.92, rel. 35.2, hkl 0 0 2; 2θ 52.93, rel. 21.3, hkl 2 4 2; 2θ 53.05, rel. 20.7, hkl 4 2 2; 2θ 52.81, rel. 20.6, hkl 2 2 4; 2θ 21.06, rel. 17.4, hkl 2 0 0; 2θ 42.49, rel. 15.1, hkl 0 0 4

# La5Re3NiO16
Calculated X-ray diffraction stick pattern, a wavelength of 1.5418 Å. Input: a DFT-relaxed cell (PBE+U, the Materials Project).
Neutral-atom scattering factors, no anomalous dispersion.

Atomic structure:
Unit cell a=5.6717 b=5.6862 c=10.2450 alpha=93.52 beta=93.44 gamma=90.57
Space group P-1 (No. 2)
One atom of each set of equivalent atoms:
La 0.0000 0.0000 0.0000 x1
La 0.0340 0.5057 0.7052 x2
La 0.4867 0.9737 0.3038 x2
Re 0.0000 0.0000 0.5000 x1
Re 0.4437 0.4442 0.1059 x2
Ni 0.5000 0.5000 0.5000 x1
O 0.0721 0.0786 0.6844 x2
O 0.1820 0.2868 0.4631 x2
O 0.2233 0.6960 0.1342 x2
O 0.2237 0.2192 0.1758 x2
O 0.2964 0.7678 0.8630 x2
O 0.3046 0.8108 0.4999 x2
O 0.3104 0.3043 0.9349 x2
O 0.4552 0.4513 0.6974 x2

Peak list (8 most intense, 5° ≤ 2θ ≤ 70°, in order of falling intensity)
2θ 28.19, rel. 100.0, hkl 1 -1 2; 2θ 29.63, rel. 76.8, hkl 1 1 2; 2θ 31.53, rel. 57.5, hkl 0 2 0; 2θ 31.61, rel. 56.5, hkl 2 0 0; 2θ 44.93, rel. 42.5, hkl 2 -2 0; 2θ 33.13, rel. 37.8, hkl 1 1 -3; 2θ 18.36, rel. 36.7, hkl 0 1 1; 2θ 55.86, rel. 32.5, hkl 1 3 2